Simulated powder diffraction line list
Compound: Ac2SnPd6
Radiation: Cu Kα
Structure: DFT lattice parameters and positions (PBE)
Lines closer than 0.1° are merged.

The 12 most intense peaks (2θ from 10° to 90°), low angle first:
22.4°, 3.966 Å, I 14
28.8°, 3.096 Å, I 18
30.0°, 2.982 Å, I 14
33.3°, 2.687 Å, I 22
33.8°, 2.655 Å, I 38
34.7°, 2.583 Å, I 14
37.7°, 2.384 Å, I 100
45.8°, 1.983 Å, I 22
55.7°, 1.651 Å, I 13
62.3°, 1.491 Å, I 21
65.9°, 1.418 Å, I 13
75.2°, 1.264 Å, I 13

```
Ac2SnPd6
1.0
5.1662 -2.9816 0.0000
5.1662 2.9816 0.0000
-0.0061 0.0000 6.1915
Ac Sn Pd
2 1 6
Direct
0.1677 0.1677 0.3013
0.8323 0.8323 0.6987
0.5000 0.5000 0.5000
0.1513 0.6753 0.1785
0.3250 0.3250 0.8194
0.3247 0.8487 0.8215
0.6753 0.1513 0.1785
0.6750 0.6750 0.1806
0.8487 0.3247 0.8215
```